HfCrAs2O8: calculated powder diffractogram (Cu Kα (λ = 1.5418 Å)), based on a crystal structure in Alexandria, relaxed with PBE+U.
No peak broadening, texture or thermal motion is included.

Structure:
abc: 5.728 5.728 5.728
angles: 107.32 107.32 113.86
Fractional positions:
Hf (0.000, 0.000, 0.000)
Cr (0.750, 0.250, 0.500)
As (0.250, 0.750, 0.500)
As (0.500, 0.500, 0.000)
O (0.077, 0.382, 0.305)
O (0.077, 0.772, 0.695)
O (0.124, 0.308, 0.816)
O (0.228, 0.923, 0.305)
O (0.492, 0.308, 0.184)
O (0.618, 0.923, 0.695)
O (0.692, 0.508, 0.816)
O (0.692, 0.876, 0.184)

Largest 6 diffraction maxima, low angle first, 2θ from 10° to 90°:
d_spacing	two_theta	I (rel.)
4.800	18.48	21
4.598	19.30	27
3.394	26.26	100
2.619	34.24	75
2.400	37.47	20
1.770	51.66	61